Entry 1:
This entry pairs a crystal structure of NaMg6MnO8 with its calculated PXRD pattern. Radiation: a wavelength of 1.5418 Å. Structure: a DFT-relaxed cell (GGA+U, the Materials Project).
Intensities are scaled so that the largest is 100.

Largest 10 diffraction maxima, in order of rising 2θ, 2θ = 10–80°:
(0 0 1), 2θ = 10.4°, I 13
(1 0 1), 2θ = 23.0°, I 10
(1 1 1), 2θ = 31.0°, I 7
(1 1 2), 2θ = 36.1°, I 25
(2 0 0), 2θ = 41.7°, I 100
(0 0 4), 2θ = 42.5°, I 45
(2 2 0), 2θ = 60.4°, I 28
(2 0 4), 2θ = 61.1°, I 52
(3 1 2), 2θ = 72.5°, I 9
(2 2 4), 2θ = 76.7°, I 24

Cell and atoms:
a = 4.332 Å, b = 4.332 Å, c = 8.501 Å
α = 90.00°, β = 90.00°, γ = 90.00°
Fractional coordinates of all 16 atoms:
1 Na 0.000 0.000 0.000
2 Mg 0.000 0.500 0.241
3 Mg 0.000 0.500 0.759
4 Mg 0.500 0.000 0.241
5 Mg 0.500 0.000 0.759
6 Mg 0.500 0.500 0.000
7 Mg 0.500 0.500 0.500
8 Mn 0.000 0.000 0.500
9 O 0.000 0.000 0.274
10 O 0.000 0.000 0.726
11 O 0.000 0.500 0.000
12 O 0.000 0.500 0.500
13 O 0.500 0.000 0.000
14 O 0.500 0.000 0.500
15 O 0.500 0.500 0.254
16 O 0.500 0.500 0.746

***

Entry 2:
This entry pairs a crystal structure of NaMg6MnO8 with its calculated PXRD pattern. Radiation: a wavelength of 1.5418 Å. Structure: a DFT-relaxed cell (GGA+U, the Materials Project).
Intensities are scaled so that the largest is 100.

Largest 10 diffraction maxima, in order of rising 2θ, 2θ = 10–80°:
(0 0 1), 2θ = 10.3°, I 7
(1 0 0), 2θ = 20.7°, I 5
(1 0 1), 2θ = 23.1°, I 7
(1 0 2), 2θ = 29.4°, I 4
(0 0 3), 2θ = 31.2°, I 2
(1 1 2), 2θ = 36.2°, I 17
(2 0 0), 2θ = 42.0°, I 100
(2 2 0), 2θ = 61.0°, I 56
(1 1 6), 2θ = 73.0°, I 10
(2 2 4), 2θ = 76.8°, I 17

Cell and atoms:
a = 4.297 Å, b = 4.297 Å, c = 8.598 Å
α = 90.00°, β = 90.00°, γ = 90.00°
Fractional coordinates of all 16 atoms:
1 Na 0.000 0.000 0.000
2 Mg 0.000 0.000 0.500
3 Mg 0.000 0.500 0.248
4 Mg 0.000 0.500 0.752
5 Mg 0.500 0.000 0.248
6 Mg 0.500 0.000 0.752
7 Mg 0.500 0.500 0.500
8 Mn 0.500 0.500 0.000
9 O 0.000 0.000 0.265
10 O 0.000 0.000 0.735
11 O 0.000 0.500 0.000
12 O 0.000 0.500 0.500
13 O 0.500 0.000 0.000
14 O 0.500 0.000 0.500
15 O 0.500 0.500 0.238
16 O 0.500 0.500 0.762

***

Entry 3:
This entry pairs a crystal structure of Mg6MnNbO8 with its calculated PXRD pattern. Radiation: a wavelength of 1.5418 Å. Structure: a DFT-relaxed cell (GGA+U, the Materials Project).
Intensities are scaled so that the largest is 100.

Largest 10 diffraction maxima, in order of rising 2θ, 2θ = 10–80°:
(0 0 2), 2θ = 20.1°, I 19
(1 0 0), 2θ = 20.5°, I 35
(1 0 2), 2θ = 28.9°, I 30
(1 1 2), 2θ = 35.7°, I 50
(0 0 4), 2θ = 40.9°, I 53
(2 0 0), 2θ = 41.7°, I 100
(2 0 4), 2θ = 59.8°, I 60
(2 2 0), 2θ = 60.4°, I 30
(3 1 2), 2θ = 72.2°, I 16
(2 2 4), 2θ = 75.5°, I 27

Cell and atoms:
a = 4.335 Å, b = 4.335 Å, c = 8.832 Å
α = 90.00°, β = 90.00°, γ = 90.00°
Fractional coordinates of all 16 atoms:
1 Mg 0.000 0.000 0.000
2 Mg 0.000 0.000 0.500
3 Mg 0.000 0.500 0.247
4 Mg 0.000 0.500 0.753
5 Mg 0.500 0.000 0.247
6 Mg 0.500 0.000 0.753
7 Mn 0.500 0.500 0.000
8 Nb 0.500 0.500 0.500
9 O 0.000 0.000 0.251
10 O 0.000 0.000 0.749
11 O 0.000 0.500 0.000
12 O 0.000 0.500 0.500
13 O 0.500 0.000 0.000
14 O 0.500 0.000 0.500
15 O 0.500 0.500 0.245
16 O 0.500 0.500 0.755

***

Entry 4:
This entry pairs a crystal structure of Mg6MnNbO8 with its calculated PXRD pattern. Radiation: a wavelength of 1.5418 Å. Structure: a DFT-relaxed cell (GGA+U, the Materials Project).
Intensities are scaled so that the largest is 100.

Largest 10 diffraction maxima, in order of rising 2θ, 2θ = 10–80°:
(0 0 1), 2θ = 10.1°, I 68
(0 0 2), 2θ = 20.3°, I 19
(1 1 1), 2θ = 30.9°, I 25
(1 1 2), 2θ = 35.7°, I 50
(0 0 4), 2θ = 41.2°, I 51
(2 0 0), 2θ = 41.7°, I 100
(2 0 4), 2θ = 60.0°, I 58
(2 2 0), 2θ = 60.4°, I 29
(3 1 2), 2θ = 72.2°, I 16
(2 2 4), 2θ = 75.7°, I 27

Cell and atoms:
a = 4.335 Å, b = 4.335 Å, c = 8.767 Å
α = 90.00°, β = 90.00°, γ = 90.00°
Fractional coordinates of all 16 atoms:
1 Mg 0.000 0.000 0.000
2 Mg 0.000 0.500 0.242
3 Mg 0.000 0.500 0.758
4 Mg 0.500 0.000 0.242
5 Mg 0.500 0.000 0.758
6 Mg 0.500 0.500 0.000
7 Mn 0.000 0.000 0.500
8 Nb 0.500 0.500 0.500
9 O 0.000 0.000 0.240
10 O 0.000 0.000 0.760
11 O 0.000 0.500 0.000
12 O 0.000 0.500 0.500
13 O 0.500 0.000 0.000
14 O 0.500 0.000 0.500
15 O 0.500 0.500 0.238
16 O 0.500 0.500 0.762